Record 1
The following is a theoretical powder XRD pattern of Ac3Be2Pd9Au. It was derived from a crystal structure in Alexandria, relaxed with GGA-PBE, using λ = 1.5418 Å (Cu Kα).

Structural model:
Cell lengths 6.926, 6.926, 7.315 Å; angles 90.00, 90.00, 120.00 degrees
Fractional positions:
1 Ac 0.000 0.000 0.000
2 Ac 0.333 0.667 0.662
3 Ac 0.667 0.333 0.338
4 Be 0.333 0.667 0.125
5 Be 0.667 0.333 0.875
6 Pd 0.000 0.500 0.000
7 Pd 0.190 0.381 0.313
8 Pd 0.190 0.810 0.313
9 Pd 0.381 0.190 0.687
10 Pd 0.500 0.000 0.000
11 Pd 0.500 0.500 0.000
12 Pd 0.619 0.810 0.313
13 Pd 0.810 0.190 0.687
14 Pd 0.810 0.619 0.687
15 Au 0.000 0.000 0.500

Top 10 peaks for 10° ≤ 2θ ≤ 90°, sorted by position:
2θ = 25.73°, I 31; 2θ = 28.57°, I 35; 2θ = 32.26°, I 97; 2θ = 36.86°, I 23; 2θ = 38.83°, I 100; 2θ = 47.15°, I 16; 2θ = 52.88°, I 36; 2θ = 59.17°, I 26; 2θ = 66.20°, I 19; 2θ = 67.51°, I 16

---

Record 2
The following is a theoretical powder XRD pattern of Ac2BePdAu6. It was derived from a crystal structure in Alexandria, relaxed with GGA-PBE, using λ = 1.5418 Å (Cu Kα).

Structural model:
Cell lengths 6.075, 6.513, 7.264 Å; angles 69.89, 65.42, 62.35 degrees
Fractional positions:
1 Ac 0.216 0.246 0.324
2 Ac 0.784 0.754 0.676
3 Be 0.000 0.000 0.000
4 Pd 0.500 0.500 0.500
5 Au 0.241 0.643 0.872
6 Au 0.256 0.214 0.795
7 Au 0.265 0.786 0.205
8 Au 0.735 0.214 0.795
9 Au 0.744 0.786 0.205
10 Au 0.759 0.357 0.128

Top 10 peaks for 10° ≤ 2θ ≤ 90°, sorted by position:
2θ = 27.49°, I 48; 2θ = 27.63°, I 53; 2θ = 29.73°, I 34; 2θ = 31.57°, I 58; 2θ = 31.99°, I 29; 2θ = 35.05°, I 76; 2θ = 35.17°, I 74; 2θ = 37.13°, I 44; 2θ = 37.45°, I 100; 2θ = 38.05°, I 70

---

Record 3
The following is a theoretical powder XRD pattern of Ac2BePd4Au2. It was derived from a crystal structure in Alexandria, relaxed with GGA-PBE, using λ = 1.5418 Å (Cu Kα).

Structural model:
Cell lengths 6.326, 6.326, 6.326 Å; angles 118.89, 118.89, 91.93 degrees
Fractional positions:
1 Ac 0.250 0.750 0.500
2 Ac 0.750 0.250 0.500
3 Be 0.000 0.000 0.000
4 Pd 0.265 0.265 0.529
5 Pd 0.265 0.735 0.000
6 Pd 0.735 0.265 0.000
7 Pd 0.735 0.735 0.471
8 Au 0.265 0.265 0.000
9 Au 0.735 0.735 0.000

Top 10 peaks for 10° ≤ 2θ ≤ 90°, sorted by position:
2θ = 20.20°, I 8; 2θ = 27.74°, I 9; 2θ = 34.55°, I 100; 2θ = 39.63°, I 35; 2θ = 41.05°, I 16; 2θ = 57.30°, I 12; 2θ = 58.38°, I 22; 2θ = 68.66°, I 26; 2θ = 70.62°, I 12; 2θ = 72.88°, I 11

---

Record 4
The following is a theoretical powder XRD pattern of Ac2BeSiAu6. It was derived from a crystal structure in Alexandria, relaxed with GGA-PBE, using λ = 1.5418 Å (Cu Kα).

Structural model:
Cell lengths 6.825, 6.825, 6.782 Å; angles 119.71, 119.71, 90.21 degrees
Fractional positions:
1 Ac 0.250 0.750 0.000
2 Ac 0.750 0.250 0.000
3 Be 0.000 0.000 0.500
4 Si 0.500 0.500 0.500
5 Au 0.240 0.240 0.500
6 Au 0.240 0.240 0.980
7 Au 0.240 0.760 0.500
8 Au 0.760 0.240 0.500
9 Au 0.760 0.760 0.020
10 Au 0.760 0.760 0.500

Top 10 peaks for 10° ≤ 2θ ≤ 90°, sorted by position:
2θ = 31.99°, I 100; 2θ = 32.24°, I 98; 2θ = 37.22°, I 73; 2θ = 37.34°, I 36; 2θ = 53.69°, I 51; 2θ = 63.77°, I 28; 2θ = 63.86°, I 14; 2θ = 63.96°, I 14; 2θ = 64.17°, I 14; 2θ = 64.30°, I 14

---

Record 5
The following is a theoretical powder XRD pattern of Ac4Bi8Au3. It was derived from a crystal structure in Alexandria, relaxed with GGA-PBE, using λ = 1.5418 Å (Cu Kα).

Structural model:
Cell lengths 4.843, 4.843, 20.401 Å; angles 90.00, 90.00, 90.00 degrees
Fractional positions:
1 Ac 0.000 0.500 0.113
2 Ac 0.000 0.500 0.617
3 Ac 0.500 0.000 0.383
4 Ac 0.500 0.000 0.887
5 Bi 0.000 0.000 0.247
6 Bi 0.000 0.000 0.753
7 Bi 0.000 0.500 0.409
8 Bi 0.000 0.500 0.920
9 Bi 0.500 0.000 0.080
10 Bi 0.500 0.000 0.591
11 Bi 0.500 0.500 0.248
12 Bi 0.500 0.500 0.752
13 Au 0.000 0.000 0.000
14 Au 0.000 0.000 0.500
15 Au 0.500 0.500 0.500

Top 10 peaks for 10° ≤ 2θ ≤ 90°, sorted by position:
2θ = 26.21°, I 10; 2θ = 27.48°, I 10; 2θ = 31.47°, I 100; 2θ = 32.17°, I 8; 2θ = 35.19°, I 9; 2θ = 37.13°, I 43; 2θ = 46.02°, I 9; 2θ = 52.09°, I 12; 2θ = 53.52°, I 15; 2θ = 63.42°, I 28

---

Record 6
The following is a theoretical powder XRD pattern of Ac2Bi6Au3. It was derived from a crystal structure in Alexandria, relaxed with GGA-PBE, using λ = 1.5418 Å (Cu Kα).

Structural model:
Cell lengths 9.215, 9.215, 4.732 Å; angles 90.00, 90.00, 120.00 degrees
Fractional positions:
1 Ac 0.333 0.667 0.000
2 Ac 0.667 0.333 0.000
3 Bi 0.000 0.234 0.000
4 Bi 0.000 0.724 0.500
5 Bi 0.234 0.000 0.000
6 Bi 0.276 0.276 0.500
7 Bi 0.724 0.000 0.500
8 Bi 0.766 0.766 0.000
9 Au 0.000 0.424 0.500
10 Au 0.424 0.000 0.500
11 Au 0.576 0.576 0.500

Top 10 peaks for 10° ≤ 2θ ≤ 90°, sorted by position:
2θ = 27.01°, I 76; 2θ = 29.28°, I 32; 2θ = 29.61°, I 34; 2θ = 33.69°, I 29; 2θ = 35.29°, I 100; 2θ = 38.03°, I 32; 2θ = 48.93°, I 18; 2θ = 51.71°, I 18; 2θ = 56.29°, I 21; 2θ = 66.95°, I 16

---

Record 7
The following is a theoretical powder XRD pattern of AcBiAu6. It was derived from a crystal structure in Alexandria, relaxed with GGA-PBE, using λ = 1.5418 Å (Cu Kα).

Structural model:
Cell lengths 5.694, 5.694, 5.694 Å; angles 90.00, 90.00, 90.00 degrees
Fractional positions:
1 Ac 0.000 0.000 0.000
2 Bi 0.500 0.500 0.500
3 Au 0.000 0.252 0.500
4 Au 0.000 0.748 0.500
5 Au 0.252 0.500 0.000
6 Au 0.500 0.000 0.252
7 Au 0.500 0.000 0.748
8 Au 0.748 0.500 0.000

Top 10 peaks for 10° ≤ 2θ ≤ 90°, sorted by position:
2θ = 31.42°, I 36; 2θ = 35.25°, I 100; 2θ = 38.74°, I 84; 2θ = 55.95°, I 8; 2θ = 58.44°, I 24; 2θ = 60.88°, I 46; 2θ = 65.59°, I 18; 2θ = 74.54°, I 13; 2θ = 76.70°, I 22; 2θ = 78.85°, I 11

---

Record 8
The following is a theoretical powder XRD pattern of Ac3Bi2Au4. It was derived from a crystal structure in Alexandria, relaxed with GGA-PBE, using λ = 1.5418 Å (Cu Kα).

Structural model:
Cell lengths 6.682, 6.682, 9.353 Å; angles 109.16, 109.16, 43.28 degrees
Fractional positions:
1 Ac 0.000 0.000 0.000
2 Ac 0.346 0.346 0.321
3 Ac 0.654 0.654 0.679
4 Bi 0.374 0.374 0.718
5 Bi 0.626 0.626 0.282
6 Au 0.045 0.045 0.385
7 Au 0.239 0.239 0.929
8 Au 0.761 0.761 0.071
9 Au 0.955 0.955 0.615

Top 10 peaks for 10° ≤ 2θ ≤ 90°, sorted by position:
2θ = 28.76°, I 42; 2θ = 29.32°, I 71; 2θ = 30.28°, I 94; 2θ = 30.65°, I 36; 2θ = 36.25°, I 100; 2θ = 36.46°, I 55; 2θ = 43.02°, I 33; 2θ = 47.08°, I 22; 2θ = 57.63°, I 21; 2θ = 59.14°, I 24